[1]
Starting from a crystal structure in OQMD, relaxed with GGA-PBE, the powder X-ray diffraction pattern of KSbPd2 was computed for a wavelength of 1.5418 Å.

The 8 most intense peaks (2θ from 10° to 90°), in order of rising 2θ:
hkl, 2θ/deg, d/Å, I/Imax
0 0 1, 14.0, 6.328, 100
0 1 2, 30.7, 2.914, 30
1 2 1, 34.0, 2.635, 29
2 0 0, 39.3, 2.295, 19
1 3 0, 41.2, 2.189, 19
1 2 2, 42.3, 2.137, 22
1 3 1, 43.7, 2.069, 36
1 2 3, 53.7, 1.705, 18

Structural model:
Unit cell a=4.5894 b=7.4735 c=6.3284 alpha=90.00 beta=90.00 gamma=90.00
Space group Pmmn (No. 59, origin choice 2)
Symmetry-distinct sites (fractional):
K  0.2500  0.2500  0.1150 x2
Sb  0.2500  0.7500  0.3974 x2
Pd  0.2500  0.0631  0.6026 x4


[2]
Starting from a crystal structure in OQMD, relaxed with GGA-PBE, the powder X-ray diffraction pattern of KScPdSe3 was computed for a wavelength of 1.5418 Å.

The 8 most intense peaks (2θ from 10° to 90°), in order of rising 2θ:
hkl, 2θ/deg, d/Å, I/Imax
0 2 0, 11.5, 7.663, 100
1 3 0, 27.9, 3.203, 17
0 2 3, 29.2, 3.053, 62
1 3 2, 33.2, 2.698, 51
0 0 4, 35.9, 2.502, 24
1 5 2, 40.9, 2.206, 63
2 0 0, 44.0, 2.056, 21
1 3 5, 54.0, 1.697, 17

Structural model:
Unit cell a=4.1123 b=15.3270 c=10.0067 alpha=90.00 beta=90.00 gamma=90.00
Space group Cmcm (No. 63)
Symmetry-distinct sites (fractional):
K  0.0000  0.2445  0.2500 x4
Sc  0.0000  0.4847  0.7500 x4
Pd  0.0000  0.0000  0.0000 x4
Se  0.0000  0.0832  0.7500 x4
Se  0.0000  0.3878  0.5434 x8


[3]
Starting from a crystal structure in OQMD, relaxed with GGA-PBE, the powder X-ray diffraction pattern of K2PdSe10 was computed for a wavelength of 1.5418 Å.

The 8 most intense peaks (2θ from 10° to 90°), in order of rising 2θ:
hkl, 2θ/deg, d/Å, I/Imax
2 1 1, 16.1, 5.515, 100
1 0 3, 17.8, 4.987, 15
1 3 4, 28.3, 3.155, 38
4 0 0, 28.4, 3.141, 23
4 0 2, 30.5, 2.931, 20
2 5 1, 31.4, 2.849, 36
2 6 2, 37.7, 2.385, 16
6 5 1, 52.2, 1.751, 15

Structural model:
Unit cell a=12.5628 b=16.2971 c=16.3013 alpha=90.00 beta=90.00 gamma=90.00
Space group I2_12_12_1 (No. 24)
Symmetry-distinct sites (fractional):
K  0.1242  0.0952  0.3521 x8
K  0.1263  0.3972  0.8446 x8
Pd  0.1253  0.0000  0.7500 x4
Pd  0.1252  0.5000  0.2500 x4
Se  0.0398  0.1833  0.9869 x8
Se  0.0665  0.1390  0.5606 x8
Se  0.0949  0.2614  0.2051 x8
Se  0.1160  0.1513  0.7578 x8
Se  0.1165  0.4410  0.1096 x8
Se  0.1342  0.0077  0.5986 x8
Se  0.1335  0.3597  0.3090 x8
Se  0.1549  0.4552  0.4888 x8
Se  0.1834  0.1894  0.8890 x8
Se  0.2099  0.2371  0.5665 x8


[4]
Starting from a crystal structure in OQMD, relaxed with GGA-PBE, the powder X-ray diffraction pattern of K2Pd2Se3 was computed for a wavelength of 1.5418 Å.

The 8 most intense peaks (2θ from 10° to 90°), in order of rising 2θ:
hkl, 2θ/deg, d/Å, I/Imax
1 0 1, 14.4, 6.151, 53
0 0 3, 17.5, 5.073, 100
0 1 2, 17.6, 5.039, 93
1 1 0, 22.9, 3.882, 62
0 2 1, 27.2, 3.283, 33
0 2 4, 35.6, 2.519, 93
2 2 0, 46.8, 1.941, 52
2 2 3, 50.3, 1.813, 49

Structural model:
Unit cell a=7.7645 b=7.7645 c=15.2185 alpha=90.00 beta=90.00 gamma=120.00
Space group R-3m (No. 166, hexagonal axes)
Symmetry-distinct sites (fractional):
K  0.0000  0.0000  0.0000 x3
K  0.0000  0.0000  0.5000 x3
Pd  0.0000  0.0000  0.2211 x6
Se  0.0000  0.5000  0.5000 x9


[5]
Starting from a crystal structure in OQMD, relaxed with GGA-PBE, the powder X-ray diffraction pattern of K2Pd2Se3 was computed for a wavelength of 1.5418 Å.

The 8 most intense peaks (2θ from 10° to 90°), in order of rising 2θ:
hkl, 2θ/deg, d/Å, I/Imax
1 1 0, 13.7, 6.454, 51
2 1 1, 23.9, 3.726, 55
3 0 1, 31.0, 2.886, 17
2 2 2, 34.0, 2.635, 13
3 2 1, 36.8, 2.439, 100
4 3 1, 51.0, 1.790, 40
5 1 2, 55.1, 1.666, 26
5 2 3, 62.8, 1.481, 15

Structural model:
Unit cell a=9.1269 b=9.1269 c=9.1269 alpha=90.00 beta=90.00 gamma=90.00
Space group I2_13 (No. 199)
Symmetry-distinct sites (fractional):
K  0.0961  0.0961  0.0961 x8
Pd  0.1151  0.3849  0.6151 x8
Se  0.0000  0.2500  0.4109 x12


[6]
Starting from a crystal structure in OQMD, relaxed with GGA-PBE, the powder X-ray diffraction pattern of KPd3Se5 was computed for a wavelength of 1.5418 Å.

The 8 most intense peaks (2θ from 10° to 90°), in order of rising 2θ:
hkl, 2θ/deg, d/Å, I/Imax
0 0 1, 12.7, 6.982, 100
1 0 0, 16.8, 5.285, 27
1 1 0, 29.3, 3.051, 35
2 0 1, 36.4, 2.472, 48
1 1 2, 39.2, 2.298, 27
2 0 2, 42.9, 2.107, 81
0 0 4, 52.4, 1.746, 28
2 2 0, 60.7, 1.526, 23

Structural model:
Unit cell a=6.1028 b=6.1028 c=6.9824 alpha=90.00 beta=90.00 gamma=120.00
Space group P6/mmm (No. 191)
Symmetry-distinct sites (fractional):
K  0.0000  0.0000  0.0000 x1
Pd  0.0000  0.5000  0.5000 x3
Se  0.0000  0.0000  0.5000 x1
Se  0.3333  0.6667  0.2474 x4


[7]
Starting from a crystal structure in OQMD, relaxed with GGA-PBE, the powder X-ray diffraction pattern of KZnPdSe3 was computed for a wavelength of 1.5418 Å.

The 8 most intense peaks (2θ from 10° to 90°), in order of rising 2θ:
hkl, 2θ/deg, d/Å, I/Imax
0 2 0, 12.4, 7.138, 100
1 3 0, 29.4, 3.037, 18
1 3 1, 30.6, 2.922, 41
0 0 4, 33.5, 2.671, 31
1 3 2, 34.0, 2.640, 33
1 5 2, 42.6, 2.123, 36
2 0 0, 46.0, 1.973, 18
1 3 5, 52.3, 1.748, 23

Structural model:
Unit cell a=3.9457 b=14.2751 c=10.6850 alpha=90.00 beta=90.00 gamma=90.00
Space group Cmcm (No. 63)
Symmetry-distinct sites (fractional):
K  0.0000  0.2490  0.2500 x4
Zn  0.0000  0.0392  0.7500 x4
Pd  0.0000  0.5000  0.0000 x4
Se  0.0000  0.1132  0.5407 x8
Se  0.0000  0.4383  0.7500 x4


[8]
Starting from a crystal structure in OQMD, relaxed with GGA-PBE, the powder X-ray diffraction pattern of K3Te4Pd2 was computed for a wavelength of 1.5418 Å.

The 8 most intense peaks (2θ from 10° to 90°), in order of rising 2θ:
hkl, 2θ/deg, d/Å, I/Imax
1 1 0, 13.1, 6.738, 58
0 2 0, 15.8, 5.600, 100
0 2 1, 17.1, 5.172, 32
2 2 0, 26.4, 3.370, 32
0 4 1, 32.7, 2.742, 30
2 0 4, 34.0, 2.634, 64
2 2 4, 37.7, 2.383, 61
4 0 0, 42.9, 2.108, 25

Structural model:
Unit cell a=8.4358 b=11.2004 c=13.4889 alpha=90.00 beta=90.00 gamma=90.00
Space group Cmcm (No. 63)
Symmetry-distinct sites (fractional):
K  0.0000  0.1979  0.0708 x8
K  0.0000  0.2697  0.7500 x4
Te  0.2403  0.4544  0.1220 x16
Pd  0.0000  0.4479  0.2500 x4
Pd  0.0000  0.5000  0.0000 x4


> Which formula does entry 2 have?

KScPdSe3